(1)
Theoretical powder XRD pattern of Ba4GeH2 for Cu Kα (weighted mean of Kα1 and Kα2), from a DFT-relaxed cell (PBE, Alexandria).
Lines closer than 0.1° are merged.

Cell and atoms:
a b c (Å): 10.176 8.582 8.562
angles (deg): 72.81 53.68 53.50
Atoms (fractional coordinates):
Ba 0.150 0.292 0.290
Ba 0.232 0.710 0.708
Ba 0.290 0.768 0.150
Ba 0.292 0.150 0.768
Ba 0.708 0.850 0.232
Ba 0.710 0.232 0.850
Ba 0.768 0.290 0.292
Ba 0.850 0.708 0.710
Ge 0.375 0.375 0.375
Ge 0.625 0.625 0.625
H 0.000 0.000 0.000
H 0.000 0.000 0.500
H 0.000 0.500 0.000
H 0.500 0.000 0.000

The 10 most intense peaks (2θ = 10–90°), sorted by position:
two_theta	d_spacing	intensity
17.43	5.088	17
24.75	3.598	36
25.93	3.436	100
27.99	3.187	63
30.08	2.971	41
33.17	2.701	37
35.28	2.544	19
43.31	2.089	20
48.22	1.887	19
53.85	1.702	15



(2)
Theoretical powder XRD pattern of Sr2Tl3In for Cu Kα (weighted mean of Kα1 and Kα2), from a DFT-relaxed cell (PBE, Alexandria).
Lines closer than 0.1° are merged.

Cell and atoms:
a b c (Å): 10.650 9.997 6.633
angles (deg): 76.69 66.00 37.31
Atoms (fractional coordinates):
Sr 0.247 0.753 0.753
Sr 0.250 0.250 0.250
Sr 0.750 0.750 0.750
Sr 0.753 0.247 0.247
Tl 0.169 0.169 0.831
Tl 0.169 0.662 0.338
Tl 0.338 0.831 0.169
Tl 0.662 0.169 0.831
Tl 0.831 0.338 0.662
Tl 0.831 0.831 0.169
In 0.334 0.334 0.666
In 0.666 0.666 0.334

The 10 most intense peaks (2θ = 10–90°), sorted by position:
two_theta	d_spacing	intensity
22.76	3.907	33
29.95	2.984	100
33.43	2.680	35
33.66	2.662	68
40.83	2.210	15
41.03	2.200	29
45.53	1.992	22
46.49	1.953	14
58.47	1.579	14
58.62	1.575	28



(3)
Theoretical powder XRD pattern of TaPtPb2O6 for Cu Kα (weighted mean of Kα1 and Kα2), from a DFT-relaxed cell (PBE, Alexandria).
Lines closer than 0.1° are merged.

Cell and atoms:
a b c (Å): 10.732 10.732 10.732
angles (deg): 31.29 31.29 31.29
Atoms (fractional coordinates):
Ta 0.094 0.094 0.094
Ta 0.906 0.906 0.906
Pt 0.000 0.000 0.000
Pt 0.500 0.500 0.500
Pb 0.226 0.226 0.226
Pb 0.386 0.386 0.386
Pb 0.614 0.614 0.614
Pb 0.774 0.774 0.774
O 0.104 0.104 0.631
O 0.104 0.631 0.104
O 0.219 0.700 0.700
O 0.300 0.300 0.781
O 0.300 0.781 0.300
O 0.369 0.896 0.896
O 0.631 0.104 0.104
O 0.700 0.219 0.700
O 0.700 0.700 0.219
O 0.781 0.300 0.300
O 0.896 0.369 0.896
O 0.896 0.896 0.369

The 10 most intense peaks (2θ = 10–90°), sorted by position:
two_theta	d_spacing	intensity
27.07	3.294	26
29.37	3.041	40
30.89	2.894	100
34.34	2.612	26
43.15	2.096	16
46.86	1.939	17
54.00	1.698	20
54.95	1.671	21
57.18	1.611	13
64.37	1.447	17